# LaNi4Bi3O12
Theoretical XRD peak list, Cu Kα X-rays. Input: a PBE+U-relaxed structure.
Peak positions follow from Bragg's law for the DFT cell and can differ from measured ones.

Principal peaks in the range 2θ = 5–70°, sorted by position:
index	2θ/deg	I/Imax
0 0 2	22.51	51
1 1 0	22.72	25
0 2 0	31.37	36
1 -1 2	31.81	100
-1 1 2	32.27	42
1 1 2	32.61	44
2 0 0	33.03	57
0 0 4	45.96	35
-2 2 1	47.63	20
3 -1 2	58.26	18

Crystal structure
```
20
Lattice="5.427 0.000 0.000 -0.049 5.705 0.000 -0.065 -0.219 7.899" Properties=species:S:1:pos:R:3 pbc="T T T"
La 0.000 0.000 0.000
Ni -0.009 3.083 1.944
Ni -0.016 3.054 5.845
Ni 2.775 0.320 1.964
Ni 2.769 0.214 5.861
Bi 0.086 0.587 3.780
Bi 2.533 3.519 3.941
Bi 2.769 2.666 7.565
O 0.736 3.183 7.857
O 1.079 4.806 2.434
O 1.148 4.672 5.310
O 1.689 2.051 2.622
O 1.823 2.068 5.508
O 2.298 0.799 0.013
O 3.305 5.544 3.888
O 3.706 4.023 1.288
O 3.742 4.183 6.352
O 4.322 1.462 6.495
O 4.604 1.180 1.763
O 4.586 2.900 3.917
```